Structure and computed powder XRD pattern of Mg6MnC (the GGA-PBE geometry in the Materials Project; Cu Kα (λ = 1.5418 Å)).

Top 10 peaks for 10° ≤ 2θ ≤ 80°, sorted by position:
Position (°2θ)  I (rel.)
12.52  88
17.03  24
29.11  15
31.94  16
34.45  35
37.35  16
38.18  19
38.99  100
39.34  14
41.31  23

Structure:
Cell lengths 3.052, 7.092, 7.092 Å; angles 85.54, 90.00, 90.00 degrees
Fractional positions:
Mg 0.000 0.000 0.000
Mg 0.000 0.118 0.441
Mg 0.000 0.441 0.118
Mg 0.500 0.308 0.767
Mg 0.500 0.737 0.737
Mg 0.500 0.767 0.308
Mn 0.000 0.493 0.493
C 0.500 0.391 0.391

=====

Structure and computed powder XRD pattern of Mg6MnC (the GGA-PBE geometry in the Materials Project; Cu Kα (λ = 1.5418 Å)).

Top 10 peaks for 10° ≤ 2θ ≤ 80°, sorted by position:
Position (°2θ)  I (rel.)
16.79  21
25.50  20
33.96  26
38.65  35
39.22  100
39.95  47
52.38  14
61.83  15
70.32  16
75.34  16

Structure:
Cell lengths 4.659, 6.004, 6.004 Å; angles 61.56, 90.00, 90.00 degrees
Fractional positions:
Mg 0.000 0.000 0.000
Mg 0.000 0.019 0.504
Mg 0.000 0.495 0.495
Mg 0.000 0.504 0.019
Mg 0.500 0.335 0.835
Mg 0.500 0.835 0.335
Mn 0.500 0.838 0.838
C 0.500 0.346 0.346

=====

Structure and computed powder XRD pattern of Mg6MoC (the GGA-PBE geometry in the Materials Project; Cu Kα (λ = 1.5418 Å)).

Top 10 peaks for 10° ≤ 2θ ≤ 80°, sorted by position:
Position (°2θ)  I (rel.)
16.52  26
18.06  67
25.95  58
35.25  29
36.58  43
37.46  50
38.43  85
41.28  100
53.36  27
70.17  26

Structure:
Cell lengths 4.802, 6.036, 6.036 Å; angles 54.48, 90.00, 90.00 degrees
Fractional positions:
Mg 0.000 0.000 0.000
Mg 0.000 0.001 0.511
Mg 0.000 0.484 0.484
Mg 0.000 0.511 0.001
Mg 0.500 0.352 0.853
Mg 0.500 0.853 0.352
Mo 0.500 0.855 0.855
C 0.500 0.348 0.348

=====

Structure and computed powder XRD pattern of Mg6MoC (the GGA-PBE geometry in the Materials Project; Cu Kα (λ = 1.5418 Å)).

Top 10 peaks for 10° ≤ 2θ ≤ 80°, sorted by position:
Position (°2θ)  I (rel.)
12.11  100
16.44  32
24.36  21
26.36  21
30.83  29
33.22  20
36.18  21
36.91  22
37.64  76
52.16  18

Structure:
Cell lengths 3.160, 7.331, 7.331 Å; angles 85.28, 90.00, 90.00 degrees
Fractional positions:
Mg 0.000 0.000 0.000
Mg 0.000 0.040 0.424
Mg 0.000 0.424 0.040
Mg 0.500 0.250 0.720
Mg 0.500 0.720 0.250
Mg 0.500 0.734 0.734
Mo 0.000 0.425 0.425
C 0.500 0.532 0.532

=====

Structure and computed powder XRD pattern of MgC4N6 (the GGA-PBE geometry in the Materials Project; Cu Kα (λ = 1.5418 Å)).

Top 10 peaks for 10° ≤ 2θ ≤ 80°, sorted by position:
Position (°2θ)  I (rel.)
17.10  25
17.72  53
18.00  98
21.61  100
26.41  42
28.06  96
31.63  18
36.47  34
37.14  29
38.05  21

Structure:
Cell lengths 6.749, 7.210, 7.465 Å; angles 90.00, 90.00, 90.00 degrees
Fractional positions:
Mg 0.000 0.000 0.000
Mg 0.500 0.500 0.500
C 0.223 0.179 0.349
C 0.223 0.179 0.651
C 0.277 0.679 0.151
C 0.277 0.679 0.849
C 0.723 0.321 0.151
C 0.723 0.321 0.849
C 0.777 0.821 0.349
C 0.777 0.821 0.651
N 0.170 0.126 0.208
N 0.170 0.126 0.792
N 0.210 0.747 0.000
N 0.290 0.247 0.500
N 0.330 0.626 0.292
N 0.330 0.626 0.708
N 0.670 0.374 0.292
N 0.670 0.374 0.708
N 0.710 0.753 0.500
N 0.790 0.253 0.000
N 0.830 0.874 0.208
N 0.830 0.874 0.792

=====

Structure and computed powder XRD pattern of Na4MgC6S6N6 (the GGA-PBE geometry in the Materials Project; Cu Kα (λ = 1.5418 Å)).

Top 10 peaks for 10° ≤ 2θ ≤ 80°, sorted by position:
Position (°2θ)  I (rel.)
17.19  19
23.49  32
23.95  33
24.34  54
25.29  30
30.32  77
31.90  17
32.65  100
40.61  20
41.29  33

Structure:
Cell lengths 8.746, 8.746, 14.085 Å; angles 90.00, 90.00, 120.00 degrees
Fractional positions:
Na 0.000 0.000 0.000
Na 0.000 0.000 0.500
Na 0.333 0.667 0.025
Na 0.333 0.667 0.475
Na 0.333 0.667 0.750
Na 0.667 0.333 0.250
Na 0.667 0.333 0.525
Na 0.667 0.333 0.975
Mg 0.333 0.667 0.250
Mg 0.667 0.333 0.750
C 0.001 0.343 0.864
C 0.001 0.658 0.636
C 0.342 0.343 0.636
C 0.342 0.999 0.864
C 0.343 0.001 0.364
C 0.343 0.342 0.136
C 0.657 0.658 0.864
C 0.657 0.999 0.636
C 0.658 0.001 0.136
C 0.658 0.657 0.364
C 0.999 0.342 0.364
C 0.999 0.657 0.136
S 0.166 0.353 0.608
S 0.166 0.813 0.892
S 0.187 0.353 0.892
S 0.187 0.834 0.608
S 0.353 0.166 0.108
S 0.353 0.187 0.392
S 0.647 0.813 0.608
S 0.647 0.834 0.892
S 0.813 0.166 0.392
S 0.813 0.647 0.108
S 0.834 0.187 0.108
S 0.834 0.647 0.392
N 0.133 0.470 0.343
N 0.133 0.663 0.157
N 0.337 0.470 0.157
N 0.337 0.867 0.343
N 0.470 0.133 0.843
N 0.470 0.337 0.657
N 0.530 0.663 0.343
N 0.530 0.867 0.157
N 0.663 0.133 0.657
N 0.663 0.530 0.843
N 0.867 0.337 0.843
N 0.867 0.530 0.657

=====

Structure and computed powder XRD pattern of Na6Mg2C4SO16 (the GGA-PBE geometry in the Materials Project; Cu Kα (λ = 1.5418 Å)).

Top 10 peaks for 10° ≤ 2θ ≤ 80°, sorted by position:
Position (°2θ)  I (rel.)
20.96  55
27.66  18
33.11  100
36.15  51
37.87  14
44.66  21
46.12  22
55.47  12
56.71  26
69.13  13

Structure:
Cell lengths 9.940, 9.940, 9.940 Å; angles 60.00, 60.00, 60.00 degrees
Fractional positions:
Na 0.093 0.093 0.657
Na 0.093 0.657 0.093
Na 0.093 0.657 0.657
Na 0.343 0.343 0.907
Na 0.343 0.907 0.343
Na 0.343 0.907 0.907
Na 0.657 0.093 0.093
Na 0.657 0.093 0.657
Na 0.657 0.657 0.093
Na 0.907 0.343 0.343
Na 0.907 0.343 0.907
Na 0.907 0.907 0.343
Mg 0.000 0.500 0.500
Mg 0.500 0.000 0.500
Mg 0.500 0.500 0.000
Mg 0.500 0.500 0.500
C 0.282 0.282 0.282
C 0.282 0.282 0.653
C 0.282 0.653 0.282
C 0.347 0.718 0.718
C 0.653 0.282 0.282
C 0.718 0.347 0.718
C 0.718 0.718 0.347
C 0.718 0.718 0.718
S 0.125 0.125 0.125
S 0.875 0.875 0.875
O 0.063 0.063 0.063
O 0.063 0.063 0.310
O 0.063 0.310 0.063
O 0.139 0.311 0.655
O 0.139 0.395 0.311
O 0.139 0.655 0.395
O 0.310 0.063 0.063
O 0.311 0.139 0.395
O 0.311 0.395 0.655
O 0.311 0.655 0.139
O 0.345 0.605 0.861
O 0.345 0.689 0.605
O 0.345 0.861 0.689
O 0.395 0.139 0.655
O 0.395 0.311 0.139
O 0.395 0.655 0.311
O 0.605 0.345 0.689
O 0.605 0.689 0.861
O 0.605 0.861 0.345
O 0.655 0.139 0.311
O 0.655 0.311 0.395
O 0.655 0.395 0.139
O 0.689 0.345 0.861
O 0.689 0.605 0.345
O 0.689 0.861 0.605
O 0.690 0.937 0.937
O 0.861 0.345 0.605
O 0.861 0.605 0.689
O 0.861 0.689 0.345
O 0.937 0.690 0.937
O 0.937 0.937 0.690
O 0.937 0.937 0.937

=====

Please write out number 2 again, unchanged.
Structure and computed powder XRD pattern of Mg6MnC (the GGA-PBE geometry in the Materials Project; Cu Kα (λ = 1.5418 Å)).

Top 10 peaks for 10° ≤ 2θ ≤ 80°, sorted by position:
Position (°2θ)  I (rel.)
16.79  21
25.50  20
33.96  26
38.65  35
39.22  100
39.95  47
52.38  14
61.83  15
70.32  16
75.34  16

Structure:
Cell lengths 4.659, 6.004, 6.004 Å; angles 61.56, 90.00, 90.00 degrees
Fractional positions:
Mg 0.000 0.000 0.000
Mg 0.000 0.019 0.504
Mg 0.000 0.495 0.495
Mg 0.000 0.504 0.019
Mg 0.500 0.335 0.835
Mg 0.500 0.835 0.335
Mn 0.500 0.838 0.838
C 0.500 0.346 0.346